The following is a computed X-ray diffraction stick pattern of MgMn6O11F. It was derived from the GGA+U geometry in the Materials Project, using a wavelength of 1.5418 Å.

Top 10 peaks for 2θ from 10° to 90°, most intense first:
2θ 23.75, intensity 100; 2θ 26.92, intensity 69; 2θ 27.50, intensity 65; 2θ 35.31, intensity 45; 2θ 55.80, intensity 43; 2θ 54.82, intensity 43; 2θ 36.01, intensity 39; 2θ 38.66, intensity 39; 2θ 31.85, intensity 37; 2θ 37.58, intensity 27

Cell and atoms:
```
MgMn6O11F
1.0
6.643 0.000 0.000
0.000 2.921 0.000
-2.474 0.000 11.238
Mg Mn O F
1 6 11 1
Cartesian
0.000 0.000 0.000
-1.475 0.000 8.684
2.157 1.461 2.314
1.981 0.000 5.523
1.642 1.461 8.695
5.367 0.000 2.339
5.292 1.461 5.513
-1.626 1.461 10.056
-0.075 0.000 5.693
0.921 0.000 1.846
0.465 0.000 8.854
1.914 1.461 4.292
2.072 1.461 6.790
3.421 0.000 2.200
4.024 0.000 5.350
5.478 1.461 0.978
5.565 1.461 3.554
4.980 1.461 7.469
2.936 0.000 9.353
```